Entry 1:
Simulated PXRD pattern
Compound: Tb4SiSn
Radiation: CuKα
Structure: a crystal structure in Alexandria, relaxed with GGA-PBE
Neutral-atom scattering factors, no anomalous dispersion.

The 10 most intense peaks (10° ≤ 2θ ≤ 80°), in order of falling intensity:
d 3.153, 2θ 28.31, rel. 100
d 2.626, 2θ 34.14, rel. 82
d 2.941, 2θ 30.39, rel. 52
d 2.351, 2θ 38.28, rel. 38
d 2.713, 2θ 33.02, rel. 22
d 2.369, 2θ 37.98, rel. 21
d 1.698, 2θ 53.99, rel. 20
d 1.836, 2θ 49.64, rel. 15
d 3.833, 2θ 23.21, rel. 14
d 2.455, 2θ 36.60, rel. 13

Structural model:
Cell: 8.504 8.504 7.779 Å, 105.20 105.20 39.72°
Sites, in units of the cell vectors:
Tb: 0.060 0.791 0.552
Tb: 0.205 0.455 0.865
Tb: 0.209 0.940 0.948
Tb: 0.455 0.205 0.365
Tb: 0.545 0.795 0.635
Tb: 0.791 0.060 0.052
Tb: 0.795 0.545 0.135
Tb: 0.940 0.209 0.448
Si: 0.000 0.500 0.500
Si: 0.500 0.000 0.000
Sn: 0.366 0.634 0.250
Sn: 0.634 0.366 0.750

---

Entry 2:
Simulated PXRD pattern
Compound: Tb3Pm3Dy
Radiation: CuKα
Structure: a crystal structure in Alexandria, relaxed with GGA-PBE
Neutral-atom scattering factors, no anomalous dispersion.

The 10 most intense peaks (10° ≤ 2θ ≤ 80°), in order of falling intensity:
d 2.771, 2θ 32.31, rel. 100
d 2.883, 2θ 31.02, rel. 25
d 3.159, 2θ 28.25, rel. 24
d 1.541, 2θ 60.02, rel. 23
d 1.642, 2θ 56.01, rel. 21
d 1.824, 2θ 50.00, rel. 20
d 1.523, 2θ 60.80, rel. 16
d 2.129, 2θ 42.45, rel. 16
d 1.220, 2θ 78.36, rel. 8
d 1.385, 2θ 67.63, rel. 4

Structural model:
Cell: 9.652 9.652 5.766 Å, 90.00 90.00 120.00°
Sites, in units of the cell vectors:
Tb: 0.095 0.617 0.250
Tb: 0.383 0.478 0.250
Tb: 0.478 0.095 0.750
Tb: 0.522 0.905 0.250
Tb: 0.617 0.522 0.750
Tb: 0.905 0.383 0.750
Pm: 0.048 0.807 0.750
Pm: 0.193 0.241 0.750
Pm: 0.241 0.048 0.250
Pm: 0.759 0.952 0.750
Pm: 0.807 0.759 0.250
Pm: 0.952 0.193 0.250
Dy: 0.333 0.667 0.750
Dy: 0.667 0.333 0.250

---

Entry 3:
Simulated PXRD pattern
Compound: RhW4Au
Radiation: CuKα
Structure: a crystal structure in Alexandria, relaxed with GGA-PBE
Neutral-atom scattering factors, no anomalous dispersion.

The 10 most intense peaks (10° ≤ 2θ ≤ 80°), in order of falling intensity:
d 2.236, 2θ 40.33, rel. 100
d 2.141, 2θ 42.21, rel. 46
d 1.427, 2θ 65.38, rel. 32
d 1.311, 2θ 72.03, rel. 29
d 2.622, 2θ 34.20, rel. 22
d 4.282, 2θ 20.74, rel. 14
d 1.514, 2θ 61.22, rel. 8
d 1.854, 2θ 49.14, rel. 7
d 1.701, 2θ 53.88, rel. 3
d 1.254, 2θ 75.90, rel. 3

Structural model:
Cell: 5.244 5.244 5.244 Å, 60.00 60.00 60.00°
Sites, in units of the cell vectors:
Rh: 0.000 0.000 0.000
W: 0.127 0.624 0.624
W: 0.624 0.127 0.624
W: 0.624 0.624 0.127
W: 0.624 0.624 0.624
Au: 0.250 0.250 0.250